Diffraction record for CsBPbI2F4. The X-ray diffraction stick pattern is theoretical, not measured: it uses a structure optimized by DFT (GGA-PBE) and Cu Kα (weighted mean of Kα1 and Kα2).
No peak broadening, texture or thermal motion is included.

Top 12 peaks for 15° ≤ 2θ ≤ 90°, sorted by position:
2theta  intensity  hkl
19.14  75  1 1 -1
19.45  80  1 1 1
25.60  25  0 0 2
29.14  100  2 2 0
29.31  25  1 1 -2
29.72  20  1 1 2
32.95  22  0 2 2
35.01  53  1 3 -1
35.16  23  1 3 1
35.57  26  3 1 1
41.43  32  0 4 0
41.87  31  4 0 0

Atomic structure:
Cell lengths 8.6287, 8.7099, 6.9616 Å; angles 90.00, 91.27, 90.00 degrees
Space group C2 (No. 5)
Unique sites:
Cs: 0.0000 0.0000 0.0000 x2
B: 0.0000 0.5257 0.0000 x2
Pb: 0.0000 0.5184 0.5000 x2
I: 0.2444 0.2651 0.3785 x4
F: 0.0933 0.6197 0.1233 x4
F: 0.0958 0.4325 0.8845 x4

***

Diffraction record for CsBPbF6. The X-ray diffraction stick pattern is theoretical, not measured: it uses a structure optimized by DFT (GGA-PBE) and Cu Kα (weighted mean of Kα1 and Kα2).
No peak broadening, texture or thermal motion is included.

Top 12 peaks for 15° ≤ 2θ ≤ 90°, sorted by position:
2theta  intensity  hkl
15.71  99  0 1 0
22.97  81  1 0 -1
23.43  55  1 -1 0
24.27  65  1 0 1
24.79  70  1 1 -1
25.09  71  1 -1 1
25.93  100  0 1 1
28.67  67  0 1 -2
29.41  71  0 2 -1
30.82  43  0 0 2
36.31  39  2 0 0
39.18  50  1 2 -2

Atomic structure:
Cell lengths 4.9571, 6.1123, 6.2941 Å; angles 112.58, 92.45, 91.21 degrees
Space group P1 (No. 1)
Unique sites:
Cs: 0.0000 0.0000 0.0000 x1
B: 0.5684 0.6266 0.2366 x1
Pb: 0.5154 0.2685 0.6118 x1
F: 0.3369 0.4824 0.2130 x1
F: 0.4890 0.0303 0.7939 x1
F: 0.4893 0.8633 0.2693 x1
F: 0.7058 0.5425 0.0234 x1
F: 0.7444 0.6285 0.4153 x1
F: 0.9671 0.2099 0.5769 x1

***

Diffraction record for CsB3PbF12. The X-ray diffraction stick pattern is theoretical, not measured: it uses a structure optimized by DFT (GGA-PBE) and Cu Kα (weighted mean of Kα1 and Kα2).
No peak broadening, texture or thermal motion is included.

Top 12 peaks for 15° ≤ 2θ ≤ 90°, sorted by position:
2theta  intensity  hkl
17.66  98  1 1 -1
18.37  56  0 2 0
19.13  51  2 0 0
19.55  100  1 1 1
26.28  37  0 0 2
26.64  68  2 2 0
30.37  24  2 0 -2
31.69  33  1 3 -1
32.26  26  0 2 2
32.82  36  1 3 1
34.78  22  3 1 1
42.19  26  2 4 0

Atomic structure:
Cell lengths 9.3732, 9.6571, 6.8503 Å; angles 90.00, 98.04, 90.00 degrees
Space group Cm (No. 8)
Unique sites:
Cs: 0.0000 0.0000 0.0000 x2
B: 0.0392 0.5000 0.0177 x2
B: 0.2208 0.2175 0.5790 x4
Pb: 0.0438 0.5000 0.4540 x2
F: 0.0340 0.5000 0.8100 x2
F: 0.0915 0.2294 0.4420 x4
F: 0.1855 0.5000 0.1108 x2
F: 0.1960 0.1538 0.7520 x4
F: 0.2724 0.3562 0.6185 x4
F: 0.3227 0.1437 0.4826 x4
F: 0.4708 0.1190 0.0810 x4